# 1
Theoretical powder XRD pattern
Compound: LuBiN2O
Radiation: Cu Kα X-rays
Structure: a GGA-PBE-relaxed structure
Intensities are scaled so that the largest is 100.

Atomic structure:
```
data_LuBiN2O
_symmetry_space_group_name_H-M 'P 1 21/c 1'
_symmetry_Int_Tables_number 14
_cell_length_a 9.038
_cell_length_b 6.884
_cell_length_c 11.789
_cell_angle_alpha 90.00
_cell_angle_beta 130.16
_cell_angle_gamma 90.00
loop_
_symmetry_equiv_pos_as_xyz
'x,y,z'
'-x,-y,-z'
'-x,y+1/2,-z+1/2'
'x,-y+1/2,z+1/2'
loop_
_atom_site_label
_atom_site_type_symbol
_atom_site_fract_x
_atom_site_fract_y
_atom_site_fract_z
Lu1 Lu 0.088 0.011 0.173
Lu2 Lu 0.120 0.516 0.183
Bi1 Bi 0.356 0.246 0.099
Bi2 Bi 0.360 0.739 0.008
N1 N 0.211 0.515 0.025
N2 N 0.244 0.018 0.944
N3 N 0.350 0.247 0.279
N4 N 0.353 0.711 0.822
O1 O 0.013 0.210 0.997
O2 O 0.016 0.747 0.764
```

Largest 10 diffraction maxima, by intensity, 10° ≤ 2θ ≤ 90°:
2theta, intensity, hkl
29.0, 100, 1 2 0
29.9, 71, 1 0 2
32.9, 68, 2 2 -2
30.1, 66, 3 0 -2
32.7, 52, 0 2 2
30.3, 43, 2 0 -4
33.1, 40, 2 1 -4
50.2, 30, 4 2 -2
47.5, 30, 3 2 0
50.0, 28, 2 2 2


# 2
Theoretical powder XRD pattern
Compound: KLaCoSe3
Radiation: Cu Kα X-rays
Structure: a GGA-PBE-relaxed structure
Intensities are scaled so that the largest is 100.

Atomic structure:
```
data_KLaCoSe3
_symmetry_space_group_name_H-M 'P n m a'
_symmetry_Int_Tables_number 62
_cell_length_a 11.717
_cell_length_b 4.312
_cell_length_c 12.574
_cell_angle_alpha 90.00
_cell_angle_beta 90.00
_cell_angle_gamma 90.00
loop_
_symmetry_equiv_pos_as_xyz
'x,y,z'
'-x,-y,-z'
'-x+1/2,-y,z+1/2'
'x+1/2,y,-z+1/2'
'x+1/2,-y+1/2,-z+1/2'
'-x+1/2,y+1/2,z+1/2'
'-x,y+1/2,-z'
'x,-y+1/2,z'
loop_
_atom_site_label
_atom_site_type_symbol
_atom_site_fract_x
_atom_site_fract_y
_atom_site_fract_z
K1 K 0.170 0.250 0.008
La1 La 0.019 0.250 0.673
Co1 Co 0.247 0.250 0.295
Se1 Se 0.056 0.750 0.836
Se2 Se 0.116 0.250 0.442
Se3 Se 0.216 0.750 0.207
```

Largest 10 diffraction maxima, by intensity, 10° ≤ 2θ ≤ 90°:
2theta, intensity, hkl
36.2, 100, 1 1 4
14.1, 88, 0 0 2
34.1, 84, 3 1 2
26.2, 83, 1 1 2
30.7, 75, 1 1 3
41.9, 72, 0 2 0
33.8, 72, 4 0 2
31.3, 60, 4 0 1
29.4, 58, 2 1 2
10.3, 57, 1 0 1


# 3
Theoretical powder XRD pattern
Compound: Hf4F7
Radiation: Cu Kα X-rays
Structure: a GGA-PBE-relaxed structure
Intensities are scaled so that the largest is 100.

Atomic structure:
```
data_Hf4F7
_symmetry_space_group_name_H-M 'P -4 3 m'
_symmetry_Int_Tables_number 215
_symmetry_space_group_name_Hall 'P -4 2 3'
_cell_length_a 5.152
_cell_length_b 5.152
_cell_length_c 5.152
_cell_angle_alpha 90.00
_cell_angle_beta 90.00
_cell_angle_gamma 90.00
loop_
_atom_site_label
_atom_site_type_symbol
_atom_site_fract_x
_atom_site_fract_y
_atom_site_fract_z
Hf1 Hf 0.206 0.206 0.206
F1 F 0.000 0.000 0.500
F2 F 0.000 0.500 0.500
F3 F 0.500 0.500 0.500
```

Largest 10 diffraction maxima, by intensity, 10° ≤ 2θ ≤ 90°:
2theta, intensity, hkl
30.0, 100, 1 1 1
50.1, 38, 2 2 0
43.0, 35, 2 1 1
34.8, 27, 2 0 0
59.5, 22, 3 1 1
17.2, 21, 1 0 0
78.8, 20, 4 1 1
53.3, 19, 3 0 0
65.3, 15, 3 2 0
39.1, 13, 2 1 0


# 4
Theoretical powder XRD pattern
Compound: Dy2Tm5Hg
Radiation: Cu Kα X-rays
Structure: a GGA-PBE-relaxed structure
Intensities are scaled so that the largest is 100.

Atomic structure:
```
data_Dy2Tm5Hg
_symmetry_space_group_name_H-M 'A m m 2'
_symmetry_Int_Tables_number 38
_cell_length_a 5.478
_cell_length_b 6.989
_cell_length_c 12.105
_cell_angle_alpha 90.00
_cell_angle_beta 90.00
_cell_angle_gamma 90.00
loop_
_symmetry_equiv_pos_as_xyz
'x,y,z'
'-x,-y,z'
'-x,y,z'
'x,-y,z'
'x,y+1/2,z+1/2'
'-x,-y+1/2,z+1/2'
'-x,y+1/2,z+1/2'
'x,-y+1/2,z+1/2'
loop_
_atom_site_label
_atom_site_type_symbol
_atom_site_fract_x
_atom_site_fract_y
_atom_site_fract_z
Dy1 Dy 0.000 0.000 0.000
Dy2 Dy 0.500 0.000 0.341
Tm1 Tm 0.000 0.243 0.756
Tm2 Tm 0.500 0.000 0.837
Tm3 Tm 0.500 0.247 0.587
Hg1 Hg 0.000 0.000 0.507
```

Largest 10 diffraction maxima, by intensity, 10° ≤ 2θ ≤ 90°:
2theta, intensity, hkl
33.8, 100, 1 2 2
32.7, 24, 2 0 0
29.5, 24, 0 2 2
63.1, 22, 2 4 0
59.1, 20, 3 2 2
52.4, 19, 0 4 0
63.8, 16, 1 4 4
44.6, 16, 2 2 2
87.0, 14, 1 6 2
82.9, 8, 3 4 4


# 5
Theoretical powder XRD pattern
Compound: Rb2UPd3S6
Radiation: Cu Kα X-rays
Structure: a GGA-PBE-relaxed structure
Intensities are scaled so that the largest is 100.

Atomic structure:
```
data_Rb2UPd3S6
_symmetry_space_group_name_H-M 'F m m m'
_symmetry_Int_Tables_number 69
_symmetry_space_group_name_Hall '-F 2 2'
_cell_length_a 9.783
_cell_length_b 14.691
_cell_length_c 16.924
_cell_angle_alpha 90.00
_cell_angle_beta 90.00
_cell_angle_gamma 90.00
loop_
_atom_site_label
_atom_site_type_symbol
_atom_site_fract_x
_atom_site_fract_y
_atom_site_fract_z
Rb1 Rb 0.000 0.204 0.000
Rb2 Rb 0.250 0.250 0.250
U1 U 0.000 0.000 0.332
Pd1 Pd 0.163 0.000 0.159
Pd2 Pd 0.173 0.000 0.500
S1 S 0.000 0.109 0.203
S2 S 0.186 0.111 0.398
```

Largest 10 diffraction maxima, by intensity, 10° ≤ 2θ ≤ 90°:
2theta, intensity, hkl
12.1, 100, 0 2 0
24.3, 74, 0 4 0
36.7, 48, 3 3 3
44.5, 46, 3 5 3
32.3, 45, 3 1 3
34.0, 22, 0 2 6
33.4, 21, 1 3 5
40.3, 17, 0 4 6
56.9, 15, 3 1 9
21.0, 13, 1 3 1


# 6
Theoretical powder XRD pattern
Compound: La2Zn3Ge6
Radiation: Cu Kα X-rays
Structure: a GGA-PBE-relaxed structure
Intensities are scaled so that the largest is 100.

Atomic structure:
```
data_La2Zn3Ge6
_symmetry_space_group_name_H-M 'C m c m'
_symmetry_Int_Tables_number 63
_symmetry_space_group_name_Hall '-C 2c 2'
_cell_length_a 6.019
_cell_length_b 25.031
_cell_length_c 6.011
_cell_angle_alpha 90.00
_cell_angle_beta 90.00
_cell_angle_gamma 90.00
loop_
_atom_site_label
_atom_site_type_symbol
_atom_site_fract_x
_atom_site_fract_y
_atom_site_fract_z
La1 La 0.000 0.106 0.250
La2 La 0.000 0.394 0.250
Zn1 Zn 0.000 0.161 0.750
Zn2 Zn 0.239 0.500 0.000
Ge1 Ge 0.000 0.059 0.750
Ge2 Ge 0.000 0.433 0.750
Ge3 Ge 0.215 0.299 0.535
```

Largest 10 diffraction maxima, by intensity, 10° ≤ 2θ ≤ 90°:
2theta, intensity, hkl
33.0, 100, 0 4 2
42.5, 71, 2 0 2
32.7, 57, 1 7 1
36.8, 50, 0 6 2
45.2, 27, 1 11 1
63.8, 24, 3 11 1
54.7, 22, 3 7 1
30.6, 22, 2 2 0
35.9, 22, 0 10 0
61.7, 20, 0 0 4


# 7
Theoretical powder XRD pattern
Compound: PrYZn2Sn2
Radiation: Cu Kα X-rays
Structure: a GGA-PBE-relaxed structure
Intensities are scaled so that the largest is 100.

Atomic structure:
```
data_PrYZn2Sn2
_symmetry_space_group_name_H-M 'P 63/m m c'
_symmetry_Int_Tables_number 194
_symmetry_space_group_name_Hall '-P 6c 2c'
_cell_length_a 4.5467
_cell_length_b 4.5467
_cell_length_c 16.3293
_cell_angle_alpha 90.00
_cell_angle_beta 90.00
_cell_angle_gamma 120.00
loop_
_atom_site_label
_atom_site_type_symbol
_atom_site_fract_x
_atom_site_fract_y
_atom_site_fract_z
Pr1 Pr 0.0000 0.0000 0.0000
Y1 Y 0.0000 0.0000 0.2500
Zn1 Zn 0.3333 0.6667 0.1616
Sn1 Sn 0.3333 0.6667 0.6187
```

Largest 10 diffraction maxima, by intensity, 10° ≤ 2θ ≤ 90°:
2theta, intensity, hkl
31.6, 100, 1 0 4
39.6, 66, 1 1 0
51.5, 25, 2 0 4
66.9, 23, 2 1 4
28.0, 20, 1 0 3
45.2, 18, 1 0 7
61.0, 18, 1 1 8
71.9, 11, 3 0 0
75.8, 8, 2 1 7
44.4, 8, 0 0 8


# 8
Theoretical powder XRD pattern
Compound: CuH8C12IN4
Radiation: Cu Kα X-rays
Structure: a GGA-PBE-relaxed structure
Intensities are scaled so that the largest is 100.

Atomic structure:
```
data_CuH8C12IN4
_symmetry_space_group_name_H-M 'P -1'
_symmetry_Int_Tables_number 2
_cell_length_a 8.079
_cell_length_b 8.805
_cell_length_c 9.386
_cell_angle_alpha 91.17
_cell_angle_beta 95.47
_cell_angle_gamma 109.07
loop_
_symmetry_equiv_pos_as_xyz
'x,y,z'
'-x,-y,-z'
loop_
_atom_site_label
_atom_site_type_symbol
_atom_site_fract_x
_atom_site_fract_y
_atom_site_fract_z
Cu1 Cu 0.081 0.054 0.387
H1 H 0.035 0.375 0.397
H2 H 0.068 0.665 0.861
H3 H 0.191 0.127 0.846
H4 H 0.209 0.658 0.357
H5 H 0.212 0.294 0.066
H6 H 0.344 0.955 0.242
H7 H 0.457 0.217 0.343
H8 H 0.475 0.278 0.698
C1 C 0.068 0.737 0.957
C2 C 0.075 0.149 0.879
C3 C 0.084 0.241 0.003
C4 C 0.171 0.407 0.373
C5 C 0.224 0.900 0.170
C6 C 0.226 0.810 0.045
C7 C 0.269 0.565 0.349
C8 C 0.312 0.501 0.713
C9 C 0.386 0.794 0.010
C10 C 0.404 0.317 0.341
C11 C 0.442 0.599 0.318
C12 C 0.489 0.528 0.686
I1 I 0.244 0.942 0.597
N1 N 0.076 0.920 0.208
N2 N 0.166 0.480 0.733
N3 N 0.237 0.284 0.370
N4 N 0.481 0.220 0.018
```

Largest 10 diffraction maxima, by intensity, 10° ≤ 2θ ≤ 90°:
2theta, intensity, hkl
10.6, 100, 0 1 0
23.9, 38, 0 2 1
22.4, 38, 0 1 2
14.7, 37, 0 1 1
23.6, 27, 1 -1 2
18.2, 25, 1 1 0
28.0, 22, 0 2 -2
37.0, 21, -3 1 2
23.5, 21, -2 1 1
35.8, 18, 3 -1 1


# 9
Theoretical powder XRD pattern
Compound: Cu4Ag
Radiation: Cu Kα X-rays
Structure: a GGA-PBE-relaxed structure
Intensities are scaled so that the largest is 100.

Atomic structure:
```
data_Cu4Ag
_symmetry_space_group_name_H-M 'P 1'
_symmetry_Int_Tables_number 1
_cell_length_a 5.887
_cell_length_b 6.438
_cell_length_c 9.520
_cell_angle_alpha 102.88
_cell_angle_beta 93.65
_cell_angle_gamma 111.36
loop_
_symmetry_equiv_pos_as_xyz
'x,y,z'
loop_
_atom_site_label
_atom_site_type_symbol
_atom_site_fract_x
_atom_site_fract_y
_atom_site_fract_z
Cu1 Cu 0.000 0.000 0.000
Cu2 Cu 0.035 0.921 0.700
Cu3 Cu 0.074 0.849 0.434
Cu4 Cu 0.110 0.786 0.165
Cu5 Cu 0.155 0.692 0.871
Cu6 Cu 0.202 0.609 0.591
Cu7 Cu 0.238 0.542 0.326
Cu8 Cu 0.310 0.373 0.742
Cu9 Cu 0.348 0.288 0.471
Cu10 Cu 0.397 0.221 0.209
Cu11 Cu 0.463 0.035 0.622
Cu12 Cu 0.515 0.976 0.360
Cu13 Cu 0.587 0.797 0.789
Cu14 Cu 0.634 0.735 0.512
Cu15 Cu 0.686 0.661 0.248
Cu16 Cu 0.732 0.582 0.961
Cu17 Cu 0.798 0.411 0.392
Cu18 Cu 0.836 0.354 0.128
Cu19 Cu 0.918 0.161 0.543
Cu20 Cu 0.967 0.105 0.280
Ag1 Ag 0.276 0.462 0.048
Ag2 Ag 0.425 0.134 0.906
Ag3 Ag 0.568 0.908 0.082
Ag4 Ag 0.753 0.485 0.668
Ag5 Ag 0.880 0.234 0.831
```

Largest 10 diffraction maxima, by intensity, 10° ≤ 2θ ≤ 90°:
2theta, intensity, hkl
42.0, 100, 2 1 0
48.9, 42, 3 -2 1
42.1, 33, 1 -3 1
48.8, 20, 0 2 3
86.7, 17, 3 3 -4
71.8, 12, 2 -4 5
71.6, 12, 4 0 -3
86.6, 10, 3 1 -7
86.9, 7, 0 5 -5
86.4, 6, 1 1 7